(1)
# Ca5LaAu6
Calculated powder X-ray diffraction pattern, Cu Kα, 1.54184 Å. Input: the PBE geometry in Alexandria.
Intensities are scaled so that the largest is 100.

Atomic structure:
```
12
Lattice="5.1846 0.0000 0.0000 0.0000 7.3575 0.0000 -2.5551 0.0000 7.7531" Properties=species:S:1:pos:R:3 pbc="T T T"
Ca 0.0000 0.0000 0.0000
Ca 0.0239 3.6787 5.1124
Ca 0.0251 0.0000 5.1725
Ca 2.6044 0.0000 2.5806
Ca 2.6056 3.6787 2.6407
La 0.0000 3.6787 0.0000
Au 0.0114 1.8235 2.5662
Au 0.0114 5.5340 2.5662
Au 2.5923 1.8613 0.0000
Au 2.5923 5.4962 0.0000
Au 2.6181 1.8235 5.1869
Au 2.6181 5.5340 5.1869
```

Main lines, sorted by position (10° ≤ 2θ ≤ 90°):
- 24.23 deg, I 28.4
- 24.38 deg, I 14.0
- 34.57 deg, I 100.0
- 34.71 deg, I 19.8
- 42.71 deg, I 13.7
- 49.56 deg, I 7.2
- 55.97 deg, I 9.6
- 61.89 deg, I 22.1
- 62.06 deg, I 14.6
- 62.21 deg, I 7.2


(2)
# CaLaAu4
Calculated powder X-ray diffraction pattern, Cu Kα, 1.54184 Å. Input: the PBE geometry in Alexandria.
Intensities are scaled so that the largest is 100.

Atomic structure:
```
6
Lattice="4.3040 -4.1557 0.0000 4.3040 4.1557 0.0000 -2.6199 0.0000 3.9683" Properties=species:S:1:pos:R:3 pbc="T T T"
Ca 0.0000 0.0000 0.0000
La 2.9940 -0.6366 1.9841
Au 0.4170 1.0404 3.1357
Au -0.0300 -1.6798 2.8250
Au 5.5711 1.0404 0.8326
Au 6.0181 -1.6798 1.1433
```

Main lines, sorted by position (10° ≤ 2θ ≤ 90°):
- 21.53 deg, I 25.0
- 24.79 deg, I 45.6
- 31.18 deg, I 26.3
- 33.00 deg, I 86.6
- 33.09 deg, I 47.5
- 37.57 deg, I 100.0
- 37.84 deg, I 53.7
- 39.15 deg, I 25.4
- 45.54 deg, I 45.0
- 51.04 deg, I 23.1


(3)
# NaCa2LaAu4
Calculated powder X-ray diffraction pattern, Cu Kα, 1.54184 Å. Input: the PBE geometry in Alexandria.
Intensities are scaled so that the largest is 100.

Atomic structure:
```
8
Lattice="2.5967 1.4992 8.4652 -2.5967 1.4992 8.4652 0.0000 -2.9984 8.4652" Properties=species:S:1:pos:R:3 pbc="T T T"
Na 0.0000 0.0000 0.0000
Ca 0.0000 0.0000 6.5269
Ca 0.0000 0.0000 18.8686
La 0.0000 0.0000 12.6978
Au 0.0000 0.0000 3.2977
Au 0.0000 0.0000 9.6185
Au 0.0000 0.0000 15.7771
Au 0.0000 0.0000 22.0979
```

Main lines, sorted by position (10° ≤ 2θ ≤ 90°):
- 24.25 deg, I 33.2
- 34.56 deg, I 100.0
- 42.67 deg, I 10.5
- 49.68 deg, I 17.5
- 56.03 deg, I 14.1
- 61.91 deg, I 27.6
- 62.00 deg, I 7.8
- 72.85 deg, I 5.9
- 78.10 deg, I 5.7
- 83.25 deg, I 15.0


(4)
# LiCa6Au5
Calculated powder X-ray diffraction pattern, Cu Kα, 1.54184 Å. Input: the PBE geometry in Alexandria.
Intensities are scaled so that the largest is 100.

Atomic structure:
```
12
Lattice="2.5673 -7.7750 0.0000 2.5673 7.7750 0.0000 0.0000 0.0000 7.4122" Properties=species:S:1:pos:R:3 pbc="T T T"
Li 0.0000 0.0000 0.0000
Ca 2.5673 5.1165 1.8765
Ca 2.5673 5.1165 5.5356
Ca 2.5673 0.0000 1.9545
Ca 2.5673 0.0000 5.4577
Ca 2.5673 -5.1165 1.8765
Ca 2.5673 -5.1165 5.5356
Au 0.0000 0.0000 3.7061
Au 2.5673 2.6091 3.7061
Au 2.5673 2.3747 0.0000
Au 2.5673 -2.3747 0.0000
Au 2.5673 -2.6091 3.7061
```

Main lines, sorted by position (10° ≤ 2θ ≤ 90°):
- 24.01 deg, I 21.8
- 24.40 deg, I 40.3
- 34.50 deg, I 100.0
- 34.61 deg, I 23.2
- 34.95 deg, I 24.8
- 49.16 deg, I 11.6
- 50.01 deg, I 16.2
- 56.20 deg, I 11.8
- 61.95 deg, I 15.0
- 62.39 deg, I 17.8


(5)
# LiCaAu4
Calculated powder X-ray diffraction pattern, Cu Kα, 1.54184 Å. Input: the PBE geometry in Alexandria.
Intensities are scaled so that the largest is 100.

Atomic structure:
```
6
Lattice="4.6739 -1.9194 0.0000 4.6739 1.9194 0.0000 -2.2097 0.0000 6.6649" Properties=species:S:1:pos:R:3 pbc="T T T"
Li 0.0000 0.0000 0.0000
Ca -1.1048 0.0000 3.3325
Au 2.7999 0.0000 1.0195
Au 1.6371 0.0000 4.8130
Au 5.5010 0.0000 1.8520
Au 4.3382 0.0000 5.6454
```

Main lines, sorted by position (10° ≤ 2θ ≤ 90°):
- 20.01 deg, I 25.8
- 25.28 deg, I 54.9
- 26.75 deg, I 35.3
- 34.66 deg, I 100.0
- 38.42 deg, I 90.2
- 38.56 deg, I 32.5
- 41.19 deg, I 52.4
- 47.36 deg, I 25.7
- 62.66 deg, I 15.8
- 64.54 deg, I 21.4


(6)
# Li5Ca2Au3
Calculated powder X-ray diffraction pattern, Cu Kα, 1.54184 Å. Input: the PBE geometry in Alexandria.
Intensities are scaled so that the largest is 100.

Atomic structure:
```
20
Lattice="2.1699 -13.1844 0.0000 2.1699 13.1844 0.0000 0.0000 0.0000 7.3111" Properties=species:S:1:pos:R:3 pbc="T T T"
Li 2.1699 11.6618 3.6555
Li 2.1699 9.7443 0.9680
Li 2.1699 5.5096 5.8640
Li 2.1699 5.4800 3.1025
Li 2.1699 2.5516 2.0927
Li 2.1699 -2.5516 5.7482
Li 2.1699 -5.4800 6.7580
Li 2.1699 -5.5096 2.2085
Li 2.1699 -9.7443 4.6235
Li 2.1699 -11.6618 0.0000
Ca 2.1699 8.4975 4.3976
Ca 2.1699 0.6192 4.8681
Ca 2.1699 -0.6192 1.2126
Ca 2.1699 -8.4975 0.7421
Au 2.1699 12.0437 6.3891
Au 2.1699 6.9409 0.8390
Au 2.1699 2.9936 6.6930
Au 2.1699 -2.9936 3.0375
Au 2.1699 -6.9409 4.4946
Au 2.1699 -12.0437 2.7336
```

Main lines, sorted by position (10° ≤ 2θ ≤ 90°):
- 23.62 deg, I 88.2
- 24.08 deg, I 73.8
- 25.28 deg, I 68.3
- 25.94 deg, I 100.0
- 26.60 deg, I 37.3
- 33.64 deg, I 63.3
- 33.81 deg, I 42.3
- 43.84 deg, I 43.6
- 44.81 deg, I 41.1
- 48.37 deg, I 52.7


(7)
# Li3Ca3Au2
Calculated powder X-ray diffraction pattern, Cu Kα, 1.54184 Å. Input: the PBE geometry in Alexandria.
Intensities are scaled so that the largest is 100.

Atomic structure:
```
32
Lattice="8.0516 0.0000 0.0000 0.0000 16.5731 0.0000 0.0000 0.0000 5.8641" Properties=species:S:1:pos:R:3 pbc="T T T"
Li 1.3569 0.5451 0.5715
Li 1.3569 7.7415 0.5715
Li 1.4028 12.4299 0.7477
Li 2.6230 4.1433 3.6798
Li 2.6689 8.8317 3.5036
Li 2.6689 16.0280 3.5036
Li 5.3827 0.5451 2.3605
Li 5.3827 7.7415 2.3605
Li 5.4286 12.4299 2.1843
Li 6.6487 4.1433 5.1164
Li 6.6947 8.8317 5.2926
Li 6.6947 16.0280 5.2926
Ca 0.2338 1.8054 3.5762
Ca 0.2338 6.4812 3.5762
Ca 1.3093 4.1433 0.8459
Ca 2.7165 12.4299 3.7780
Ca 3.7920 10.0919 0.6441
Ca 3.7920 14.7678 0.6441
Ca 4.2595 1.8054 5.2200
Ca 4.2595 6.4812 5.2200
Ca 5.3350 4.1433 2.0862
Ca 6.7423 12.4299 5.0182
Ca 7.8178 10.0919 2.2880
Ca 7.8178 14.7678 2.2880
Au 0.9854 10.1757 5.2077
Au 0.9854 14.6840 5.2077
Au 3.0403 1.8891 2.2757
Au 3.0403 6.3975 2.2757
Au 5.0112 10.1757 3.5885
Au 5.0112 14.6840 3.5885
Au 7.0661 1.8891 0.6564
Au 7.0661 6.3975 0.6564
```

Main lines, sorted by position (10° ≤ 2θ ≤ 90°):
- 16.03 deg, I 63.4
- 18.72 deg, I 47.6
- 19.48 deg, I 46.7
- 21.45 deg, I 100.0
- 24.75 deg, I 71.0
- 27.41 deg, I 77.5
- 32.96 deg, I 67.8
- 34.63 deg, I 67.2
- 36.44 deg, I 55.2
- 39.27 deg, I 45.5


(8)
# LiCaAu
Calculated powder X-ray diffraction pattern, Cu Kα, 1.54184 Å. Input: the PBE geometry in Alexandria.
Intensities are scaled so that the largest is 100.

Atomic structure:
```
12
Lattice="8.1829 0.0000 0.0000 0.0000 8.1829 0.0000 0.0000 0.0000 4.2800" Properties=species:S:1:pos:R:3 pbc="T T T"
Li 0.7940 6.9537 0.0000
Li 1.2292 0.7940 2.1400
Li 6.9537 7.3889 2.1400
Li 7.3889 1.2292 0.0000
Ca 1.7404 3.4652 0.0000
Ca 3.4652 6.4425 2.1400
Ca 4.7176 1.7404 2.1400
Ca 6.4425 4.7176 0.0000
Au 0.5729 5.4156 2.1400
Au 2.7673 0.5729 0.0000
Au 5.4156 7.6099 0.0000
Au 7.6099 2.7673 2.1400
```

Main lines, sorted by position (10° ≤ 2θ ≤ 90°):
- 15.31 deg, I 99.0
- 23.46 deg, I 100.0
- 24.32 deg, I 63.6
- 25.89 deg, I 46.2
- 30.22 deg, I 74.9
- 34.67 deg, I 52.4
- 37.52 deg, I 55.5
- 40.75 deg, I 81.8
- 45.20 deg, I 34.7
- 49.84 deg, I 28.5


(9)
# Li2Ca3Au
Calculated powder X-ray diffraction pattern, Cu Kα, 1.54184 Å. Input: the PBE geometry in Alexandria.
Intensities are scaled so that the largest is 100.

Atomic structure:
```
12
Lattice="2.6476 -7.9970 0.0000 2.6476 7.9970 0.0000 0.0000 0.0000 7.8939" Properties=species:S:1:pos:R:3 pbc="T T T"
Li 0.0000 0.0000 0.0000
Li 0.0000 0.0000 3.9470
Li 2.6476 2.6591 0.0000
Li 2.6476 -2.6591 0.0000
Ca 2.6476 5.2253 2.1851
Ca 2.6476 5.2253 5.7088
Ca 2.6476 0.0000 2.0900
Ca 2.6476 0.0000 5.8039
Ca 2.6476 -5.2253 2.1851
Ca 2.6476 -5.2253 5.7088
Au 2.6476 2.4585 3.9470
Au 2.6476 -2.4585 3.9470
```

Main lines, sorted by position (10° ≤ 2θ ≤ 90°):
- 11.21 deg, I 100.0
- 17.64 deg, I 21.4
- 20.95 deg, I 25.9
- 24.96 deg, I 16.2
- 26.27 deg, I 37.5
- 32.91 deg, I 79.0
- 33.62 deg, I 17.1
- 33.86 deg, I 19.7
- 35.77 deg, I 15.1
- 41.92 deg, I 22.2


(10)
# Li4Ca3Au2
Calculated powder X-ray diffraction pattern, Cu Kα, 1.54184 Å. Input: the PBE geometry in Alexandria.
Intensities are scaled so that the largest is 100.

Atomic structure:
```
9
Lattice="6.3609 -2.1948 0.0000 6.3609 2.1948 0.0000 -3.0558 0.0000 7.9877" Properties=species:S:1:pos:R:3 pbc="T T T"
Li 0.9508 0.0000 1.5187
Li 2.4718 0.0000 3.8790
Li 7.1943 0.0000 4.1087
Li 8.7153 0.0000 6.4690
Ca -1.5279 0.0000 3.9938
Ca 4.4425 0.0000 0.9368
Ca 5.2236 0.0000 7.0509
Au 0.7719 0.0000 5.9190
Au 8.8941 0.0000 2.0687
```

Main lines, sorted by position (10° ≤ 2θ ≤ 90°):
- 14.91 deg, I 88.4
- 21.94 deg, I 37.5
- 22.26 deg, I 33.2
- 23.04 deg, I 100.0
- 25.54 deg, I 28.5
- 29.45 deg, I 54.5
- 31.13 deg, I 31.6
- 35.21 deg, I 36.6
- 37.90 deg, I 28.6
- 41.09 deg, I 38.5